Starting from a crystal structure in OQMD, relaxed with PBE, the powder diffractogram of Y2Ga3Fe14 was calculated for Cu Kα (weighted mean of Kα1 and Kα2).

Peak list (8 most intense, 2θ = 10–90°, low angle first)
| two_theta | d [Å] | I (rel.) | (hkl) |
| --- | --- | --- | --- |
| 36.4 | 2.465 | 32.9 | 3 0 0 |
| 41.0 | 2.199 | 23.5 | 2 0 3 |
| 42.3 | 2.135 | 57.4 | 2 2 0 |
| 42.8 | 2.113 | 100.0 | 3 0 2 |
| 44.1 | 2.052 | 31.8 | 0 0 4 |
| 48.0 | 1.894 | 48.8 | 2 2 2 |
| 77.4 | 1.233 | 21.2 | 6 0 0 |
| 80.3 | 1.196 | 19.1 | 3 0 6 |

Structural model:
```
Y2Ga3Fe14
1.0
8.540 0.000 0.000
-4.270 7.396 0.000
0.000 0.000 8.206
Y Ga Fe
4 6 28
Direct
0.000 0.000 0.250
0.000 0.000 0.750
0.333 0.667 0.250
0.667 0.333 0.750
0.000 0.500 0.000
0.000 0.500 0.500
0.500 0.000 0.000
0.500 0.000 0.500
0.500 0.500 0.000
0.500 0.500 0.500
0.030 0.351 0.750
0.030 0.679 0.750
0.165 0.331 0.014
0.165 0.331 0.486
0.165 0.835 0.014
0.165 0.835 0.486
0.321 0.351 0.750
0.321 0.970 0.750
0.331 0.165 0.514
0.331 0.165 0.986
0.333 0.667 0.612
0.333 0.667 0.888
0.351 0.030 0.250
0.351 0.321 0.250
0.649 0.679 0.750
0.649 0.970 0.750
0.667 0.333 0.112
0.667 0.333 0.388
0.669 0.835 0.014
0.669 0.835 0.486
0.679 0.030 0.250
0.679 0.649 0.250
0.835 0.165 0.514
0.835 0.165 0.986
0.835 0.669 0.514
0.835 0.669 0.986
0.970 0.321 0.250
0.970 0.649 0.250
```